The following is a calculated powder X-ray diffraction pattern of Rb4Pm3CoO8. It was derived from a DFT-relaxed cell (PBE+U, Alexandria), using Cu Kα (weighted mean of Kα1 and Kα2).
Intensities are scaled so that the largest is 100.

Main lines, low angle first (10 to 90 degrees two-theta):
| 2theta | I/Imax |
| --- | --- |
| 13.47 | 24.3 |
| 27.13 | 58.1 |
| 30.26 | 77.7 |
| 30.90 | 36.0 |
| 34.14 | 100.0 |
| 34.89 | 44.1 |
| 47.17 | 33.2 |
| 47.48 | 17.4 |
| 50.59 | 16.1 |
| 51.98 | 28.6 |
| 55.14 | 18.4 |
| 59.71 | 15.4 |

Crystal structure
a b c (Å): 7.040 7.040 7.727
angles (deg): 116.82 116.82 61.67
Sites, in units of the cell vectors:
Rb 0.000 0.000 0.000
Rb 0.000 0.500 0.000
Rb 0.500 0.000 0.000
Rb 0.500 0.500 0.000
Pm 0.000 0.000 0.500
Pm 0.000 0.500 0.500
Pm 0.500 0.000 0.500
Co 0.500 0.500 0.500
O 0.221 0.735 0.690
O 0.230 0.230 0.681
O 0.265 0.779 0.310
O 0.313 0.313 0.348
O 0.687 0.687 0.652
O 0.735 0.221 0.690
O 0.770 0.770 0.319
O 0.779 0.265 0.310